Starting from a crystal structure in the Materials Project, relaxed with GGA-PBE, the powder XRD pattern of CdSnRh2 was simulated for CuKα.
Peak positions follow from Bragg's law for the DFT cell and can differ from measured ones.

Most intense lines, 15° ≤ 2θ ≤ 90°, in order of falling intensity:
2theta, Rel. int.
39.4, 100
71.4, 34
56.9, 17
84.7, 11

a b c (Å): 6.4734 6.4734 6.4734
angles (deg): 90.00 90.00 90.00
Positions (direct):
Cd1 0.0000 0.0000 0.0000
Cd2 0.0000 0.5000 0.5000
Cd3 0.5000 0.0000 0.5000
Cd4 0.5000 0.5000 0.0000
Sn1 0.0000 0.0000 0.5000
Sn2 0.0000 0.5000 0.0000
Sn3 0.5000 0.0000 0.0000
Sn4 0.5000 0.5000 0.5000
Rh1 0.2500 0.2500 0.2500
Rh2 0.2500 0.2500 0.7500
Rh3 0.2500 0.7500 0.2500
Rh4 0.2500 0.7500 0.7500
Rh5 0.7500 0.2500 0.2500
Rh6 0.7500 0.2500 0.7500
Rh7 0.7500 0.7500 0.2500
Rh8 0.7500 0.7500 0.7500

Starting from a crystal structure in the Materials Project, relaxed with GGA-PBE, the powder XRD pattern of Ba5Er8Zn4O21 was simulated for CuKα.
Peak positions follow from Bragg's law for the DFT cell and can differ from measured ones.

Most intense lines, 15° ≤ 2θ ≤ 90°, in order of falling intensity:
2theta, Rel. int.
30.9, 100
28.0, 45
31.3, 42
36.1, 35
55.4, 19
46.1, 19
43.1, 18
28.9, 16
38.0, 13
50.0, 11
47.5, 11
57.1, 11

a b c (Å): 10.1760 10.1760 10.1760
angles (deg): 94.53 94.53 147.34
Positions (direct):
Ba1 0.0000 0.0000 0.0000
Ba2 0.1399 0.4645 0.6044
Ba3 0.4645 0.8601 0.3246
Ba4 0.5355 0.1399 0.6754
Ba5 0.8601 0.5355 0.3956
Er1 0.1682 0.7525 0.9207
Er2 0.2475 0.1682 0.4157
Er3 0.3584 0.5888 0.9471
Er4 0.4112 0.3584 0.7696
Er5 0.5888 0.6416 0.2304
Er6 0.6416 0.4112 0.0529
Er7 0.7525 0.8318 0.5843
Er8 0.8318 0.2475 0.0793
Zn1 0.0406 0.2499 0.2905
Zn2 0.2499 0.9594 0.2093
Zn3 0.7501 0.0406 0.7907
Zn4 0.9594 0.7501 0.7095
O1 0.0074 0.6021 0.1078
O2 0.0388 0.6290 0.6678
O3 0.0735 0.2026 0.7743
O4 0.1004 0.9926 0.5947
O5 0.2026 0.4284 0.1291
O6 0.2992 0.0735 0.8709
O7 0.3710 0.0388 0.4098
O8 0.3979 0.5057 0.4053
O9 0.4284 0.2992 0.2257
O10 0.4943 0.8996 0.8922
O11 0.5000 0.5000 0.0000
O12 0.5057 0.1004 0.1078
O13 0.5716 0.7008 0.7743
O14 0.6021 0.4943 0.5947
O15 0.6290 0.9612 0.5902
O16 0.7008 0.9265 0.1291
O17 0.7974 0.5716 0.8709
O18 0.8996 0.0074 0.4053
O19 0.9265 0.7974 0.2257
O20 0.9612 0.3710 0.3322
O21 0.9926 0.3979 0.8922

Starting from a crystal structure in the Materials Project, relaxed with GGA-PBE, the powder XRD pattern of TbCoSn2 was simulated for CuKα.
Peak positions follow from Bragg's law for the DFT cell and can differ from measured ones.

Most intense lines, 15° ≤ 2θ ≤ 90°, in order of falling intensity:
2theta, Rel. int.
32.2, 100
35.6, 28
40.4, 26
41.3, 24
31.8, 20
59.1, 17
55.6, 15
49.3, 12
68.4, 12
69.5, 11
65.6, 10
52.4, 9

a b c (Å): 4.3771 18.3382 4.4609
angles (deg): 90.00 90.00 90.00
Positions (direct):
Tb1 0.0000 0.1139 0.2500
Tb2 0.0000 0.8861 0.7500
Tb3 0.5000 0.3861 0.7500
Tb4 0.5000 0.6139 0.2500
Co1 0.0000 0.3200 0.2500
Co2 0.0000 0.6800 0.7500
Co3 0.5000 0.1800 0.7500
Co4 0.5000 0.8200 0.2500
Sn1 0.0000 0.2517 0.7500
Sn2 0.0000 0.4516 0.2500
Sn3 0.0000 0.5484 0.7500
Sn4 0.0000 0.7483 0.2500
Sn5 0.5000 0.0484 0.7500
Sn6 0.5000 0.2483 0.2500
Sn7 0.5000 0.7517 0.7500
Sn8 0.5000 0.9516 0.2500

Starting from a crystal structure in the Materials Project, relaxed with GGA-PBE, the powder XRD pattern of CaBC was simulated for CuKα.
Peak positions follow from Bragg's law for the DFT cell and can differ from measured ones.

Most intense lines, 15° ≤ 2θ ≤ 90°, in order of falling intensity:
2theta, Rel. int.
41.5, 100
34.9, 35
44.1, 19
62.6, 17
21.7, 17
79.8, 16
57.5, 16
77.9, 12
79.4, 12
67.1, 6
73.8, 3
68.6, 1

a b c (Å): 2.9668 2.9668 8.2054
angles (deg): 90.00 90.00 120.00
Positions (direct):
Ca1 0.0000 0.0000 0.0000
Ca2 0.0000 0.0000 0.5000
B1 0.3333 0.6667 0.2500
B2 0.6667 0.3333 0.7500
C1 0.3333 0.6667 0.7500
C2 0.6667 0.3333 0.2500

Starting from a crystal structure in the Materials Project, relaxed with GGA-PBE, the powder XRD pattern of Sr7ReN6 was simulated for CuKα.
Peak positions follow from Bragg's law for the DFT cell and can differ from measured ones.

Most intense lines, 15° ≤ 2θ ≤ 90°, in order of falling intensity:
2theta, Rel. int.
29.5, 100
29.2, 62
32.8, 61
27.9, 22
41.8, 21
19.6, 19
33.4, 15
52.5, 12
39.6, 12
19.3, 11
52.1, 11
35.0, 10

a b c (Å): 12.1992 6.8093 13.9495
angles (deg): 90.00 90.00 90.00
Positions (direct):
Sr1 0.0000 0.0575 0.2500
Sr2 0.0000 0.9425 0.7500
Sr3 0.0322 0.2303 0.5169
Sr4 0.0322 0.7697 0.0169
Sr5 0.2182 0.3765 0.1239
Sr6 0.2182 0.6235 0.6239
Sr7 0.2255 0.3545 0.8766
Sr8 0.2255 0.6455 0.3766
Sr9 0.2745 0.1455 0.3766
Sr10 0.2745 0.8545 0.8766
Sr11 0.2818 0.1235 0.6239
Sr12 0.2818 0.8765 0.1239
Sr13 0.4678 0.2697 0.0169
Sr14 0.4678 0.7303 0.5169
Sr15 0.5000 0.4425 0.7500
Sr16 0.5000 0.5575 0.2500
Sr17 0.5322 0.2697 0.4831
Sr18 0.5322 0.7303 0.9831
Sr19 0.7182 0.1235 0.8761
Sr20 0.7182 0.8765 0.3761
Sr21 0.7255 0.1455 0.1234
Sr22 0.7255 0.8545 0.6234
Sr23 0.7745 0.3545 0.6234
Sr24 0.7745 0.6455 0.1234
Sr25 0.7818 0.3765 0.3761
Sr26 0.7818 0.6235 0.8761
Sr27 0.9678 0.2303 0.9831
Sr28 0.9678 0.7697 0.4831
Re1 0.0000 0.4451 0.7500
Re2 0.0000 0.5549 0.2500
Re3 0.5000 0.0549 0.2500
Re4 0.5000 0.9451 0.7500
N1 0.0530 0.3971 0.3513
N2 0.0530 0.6029 0.8513
N3 0.1149 0.2878 0.7045
N4 0.1149 0.7122 0.2045
N5 0.1646 0.0823 0.9994
N6 0.1646 0.9177 0.4994
N7 0.3354 0.4177 0.4994
N8 0.3354 0.5823 0.9994
N9 0.3851 0.2122 0.2045
N10 0.3851 0.7878 0.7045
N11 0.4470 0.1029 0.8513
N12 0.4470 0.8971 0.3513
N13 0.5530 0.1029 0.6487
N14 0.5530 0.8971 0.1487
N15 0.6149 0.2122 0.2955
N16 0.6149 0.7878 0.7955
N17 0.6646 0.4177 0.0006
N18 0.6646 0.5823 0.5006
N19 0.8354 0.0823 0.5006
N20 0.8354 0.9177 0.0006
N21 0.8851 0.2878 0.7955
N22 0.8851 0.7122 0.2955
N23 0.9470 0.3971 0.1487
N24 0.9470 0.6029 0.6487

Starting from a crystal structure in the Materials Project, relaxed with GGA-PBE, the powder XRD pattern of Ce2SbS5Br was simulated for CuKα.
Peak positions follow from Bragg's law for the DFT cell and can differ from measured ones.

Most intense lines, 15° ≤ 2θ ≤ 90°, in order of falling intensity:
2theta, Rel. int.
32.6, 100
33.9, 90
21.5, 89
34.9, 71
30.2, 62
22.4, 61
40.0, 61
44.4, 60
25.8, 50
26.3, 45
30.0, 43
53.4, 41

a b c (Å): 8.8592 5.4869 17.7300
angles (deg): 90.00 90.00 90.00
Positions (direct):
Ce1 0.1550 0.2500 0.2003
Ce2 0.2231 0.2500 0.4703
Ce3 0.2769 0.7500 0.9703
Ce4 0.3450 0.7500 0.7003
Ce5 0.6550 0.2500 0.2997
Ce6 0.7231 0.2500 0.0297
Ce7 0.7769 0.7500 0.5297
Ce8 0.8450 0.7500 0.7997
Sb1 0.0135 0.2500 0.6712
Sb2 0.4865 0.7500 0.1712
Sb3 0.5135 0.2500 0.8288
Sb4 0.9865 0.7500 0.3288
S1 0.0202 0.7500 0.6552
S2 0.0748 0.7500 0.4589
S3 0.1554 0.5593 0.8267
S4 0.1554 0.9407 0.8267
S5 0.2128 0.7500 0.1424
S6 0.2872 0.2500 0.6424
S7 0.3446 0.0593 0.3267
S8 0.3446 0.4407 0.3267
S9 0.4252 0.2500 0.9589
S10 0.4798 0.2500 0.1552
S11 0.5202 0.7500 0.8448
S12 0.5748 0.7500 0.0411
S13 0.6554 0.5593 0.6733
S14 0.6554 0.9407 0.6733
S15 0.7128 0.7500 0.3576
S16 0.7872 0.2500 0.8576
S17 0.8446 0.0593 0.1733
S18 0.8446 0.4407 0.1733
S19 0.9252 0.2500 0.5411
S20 0.9798 0.2500 0.3448
Br1 0.0963 0.2500 0.0279
Br2 0.4037 0.7500 0.5279
Br3 0.5963 0.2500 0.4721
Br4 0.9037 0.7500 0.9721